# 1
Ac3In4: computed powder XRD pattern (Cu Kα X-rays), based on DFT lattice parameters and positions (PBE).
Peak positions follow from Bragg's law for the DFT cell and can differ from measured ones.

Structure:
```
data_Ac3In4
_chemical_formula_sum 'Ac6 In8'
_cell_length_a 6.6055
_cell_length_b 6.6055
_cell_length_c 16.0081
_cell_angle_alpha 90.00
_cell_angle_beta 90.00
_cell_angle_gamma 137.06
_space_group_name_H-M_alt 'P 1'
_space_group_IT_number 1
_space_group_name_Hall 'P 1'
loop_
_atom_site_label
_atom_site_fract_x
_atom_site_fract_y
_atom_site_fract_z
Ac1 0.0015 0.9985 0.7500
Ac2 0.2930 0.7070 0.6004
Ac3 0.2930 0.7070 0.8996
Ac4 0.7070 0.2930 0.1004
Ac5 0.7070 0.2930 0.3996
Ac6 0.9985 0.0015 0.2500
In1 0.0000 0.0000 0.0000
In2 0.0000 0.0000 0.5000
In3 0.2737 0.7263 0.2500
In4 0.4189 0.5811 0.1006
In5 0.4189 0.5811 0.3994
In6 0.5811 0.4189 0.6006
In7 0.5811 0.4189 0.8994
In8 0.7263 0.2737 0.7500
```

Principal peaks in the range 2θ from 10° to 90°, most intense first:
2θ 29.88, I 100.0; 2θ 33.21, I 86.5; 2θ 28.55, I 80.0; 2θ 33.62, I 73.3; 2θ 25.90, I 69.7; 2θ 37.19, I 52.5; 2θ 51.00, I 45.5; 2θ 26.58, I 36.5; 2θ 29.07, I 35.8; 2θ 55.68, I 29.4

---

# 2
Ac3In4: computed powder XRD pattern (Cu Kα X-rays), based on DFT lattice parameters and positions (PBE).
Peak positions follow from Bragg's law for the DFT cell and can differ from measured ones.

Structure:
```
data_Ac3In4
_chemical_formula_sum 'Ac6 In8'
_cell_length_a 4.7480
_cell_length_b 4.8687
_cell_length_c 21.0750
_cell_angle_alpha 90.00
_cell_angle_beta 90.00
_cell_angle_gamma 90.00
_space_group_name_H-M_alt 'P 1'
_space_group_IT_number 1
_space_group_name_Hall 'P 1'
loop_
_atom_site_label
_atom_site_fract_x
_atom_site_fract_y
_atom_site_fract_z
Ac1 0.0000 0.0000 0.0000
Ac2 0.0000 0.5000 0.3141
Ac3 0.0000 0.5000 0.6859
Ac4 0.5000 0.0000 0.1859
Ac5 0.5000 0.0000 0.8141
Ac6 0.5000 0.5000 0.5000
In1 0.0000 0.0000 0.4334
In2 0.0000 0.0000 0.5666
In3 0.0000 0.5000 0.1458
In4 0.0000 0.5000 0.8542
In5 0.5000 0.0000 0.3542
In6 0.5000 0.0000 0.6458
In7 0.5000 0.5000 0.0666
In8 0.5000 0.5000 0.9334
```

Principal peaks in the range 2θ from 10° to 90°, most intense first:
2θ 27.57, I 100.0; 2θ 28.00, I 51.1; 2θ 35.30, I 32.3; 2θ 36.93, I 27.0; 2θ 37.90, I 25.1; 2θ 47.77, I 24.2; 2θ 31.32, I 22.8; 2θ 52.01, I 22.2; 2θ 36.79, I 18.3; 2θ 53.95, I 18.1

---

# 3
Ac7In2Ir2: computed powder XRD pattern (Cu Kα X-rays), based on DFT lattice parameters and positions (PBE).
Peak positions follow from Bragg's law for the DFT cell and can differ from measured ones.

Structure:
```
data_Ac7In2Ir2
_chemical_formula_sum 'Ac7 In2 Ir2'
_cell_length_a 10.2547
_cell_length_b 10.2547
_cell_length_c 10.2547
_cell_angle_alpha 155.24
_cell_angle_beta 67.02
_cell_angle_gamma 118.84
_space_group_name_H-M_alt 'P 1'
_space_group_IT_number 1
_space_group_name_Hall 'P 1'
loop_
_atom_site_label
_atom_site_fract_x
_atom_site_fract_y
_atom_site_fract_z
Ac1 0.0000 0.0000 0.0000
Ac2 0.0614 0.3882 0.6732
Ac3 0.1806 0.7949 0.3857
Ac4 0.4092 0.7949 0.6143
Ac5 0.5180 0.6177 0.9003
Ac6 0.7150 0.3882 0.3268
Ac7 0.7174 0.6177 0.0997
In1 0.3405 0.1034 0.2371
In2 0.8663 0.1034 0.7629
Ir1 0.3587 0.3587 0.0000
Ir2 0.7966 0.2966 0.5000
```

Principal peaks in the range 2θ from 10° to 90°, most intense first:
2θ 30.39, I 100.0; 2θ 27.02, I 98.1; 2θ 30.88, I 55.1; 2θ 27.44, I 44.0; 2θ 35.92, I 43.5; 2θ 41.05, I 41.6; 2θ 38.62, I 35.6; 2θ 26.15, I 32.5; 2θ 34.51, I 32.4; 2θ 25.59, I 30.8

---

Number 1 is which compound? Ac3In4

---

Repeat the third record exactly.
Ac7In2Ir2: computed powder XRD pattern (Cu Kα X-rays), based on DFT lattice parameters and positions (PBE).
Peak positions follow from Bragg's law for the DFT cell and can differ from measured ones.

Structure:
```
data_Ac7In2Ir2
_chemical_formula_sum 'Ac7 In2 Ir2'
_cell_length_a 10.2547
_cell_length_b 10.2547
_cell_length_c 10.2547
_cell_angle_alpha 155.24
_cell_angle_beta 67.02
_cell_angle_gamma 118.84
_space_group_name_H-M_alt 'P 1'
_space_group_IT_number 1
_space_group_name_Hall 'P 1'
loop_
_atom_site_label
_atom_site_fract_x
_atom_site_fract_y
_atom_site_fract_z
Ac1 0.0000 0.0000 0.0000
Ac2 0.0614 0.3882 0.6732
Ac3 0.1806 0.7949 0.3857
Ac4 0.4092 0.7949 0.6143
Ac5 0.5180 0.6177 0.9003
Ac6 0.7150 0.3882 0.3268
Ac7 0.7174 0.6177 0.0997
In1 0.3405 0.1034 0.2371
In2 0.8663 0.1034 0.7629
Ir1 0.3587 0.3587 0.0000
Ir2 0.7966 0.2966 0.5000
```

Principal peaks in the range 2θ from 10° to 90°, most intense first:
2θ 30.39, I 100.0; 2θ 27.02, I 98.1; 2θ 30.88, I 55.1; 2θ 27.44, I 44.0; 2θ 35.92, I 43.5; 2θ 41.05, I 41.6; 2θ 38.62, I 35.6; 2θ 26.15, I 32.5; 2θ 34.51, I 32.4; 2θ 25.59, I 30.8